Record 1
# Sr7HfN6
Calculated X-ray diffraction stick pattern, Cu Kα X-rays. Input: a DFT-relaxed cell (PBE, Alexandria).

Most intense lines, 10° ≤ 2θ ≤ 80°, in order of rising 2θ:
| 2θ/deg | intensity |
| --- | --- |
| 19.66 | 18.3 |
| 27.97 | 21.3 |
| 29.01 | 32.1 |
| 29.25 | 29.1 |
| 29.58 | 100.0 |
| 32.58 | 23.9 |
| 32.74 | 48.6 |
| 41.67 | 20.1 |
| 49.98 | 13.6 |
| 60.65 | 15.4 |

```
Sr7HfN6
1.0
12.313 0.000 0.000
0.000 6.801 0.000
0.000 0.000 13.860
Sr Hf N
28 4 24
Cartesian
0.000 0.142 3.465
0.000 6.659 10.395
0.505 1.538 7.021
0.505 5.263 0.091
2.722 2.598 1.648
2.722 4.203 8.578
2.798 2.391 12.070
2.798 4.410 5.140
3.359 1.010 5.140
3.359 5.791 12.070
3.435 0.802 8.578
3.435 5.999 1.648
5.652 1.862 0.091
5.652 4.939 7.021
6.157 3.259 10.395
6.157 3.542 3.465
6.661 1.862 6.839
6.661 4.939 13.768
8.879 0.802 12.211
8.879 5.999 5.281
8.955 1.010 1.790
8.955 5.791 8.720
9.515 2.391 8.720
9.515 4.410 1.790
9.591 2.598 5.281
9.591 4.203 12.211
11.809 1.538 13.768
11.809 5.263 6.839
0.000 3.258 10.395
0.000 3.543 3.465
6.157 0.143 3.465
6.157 6.658 10.395
1.120 2.281 4.661
1.120 4.520 11.591
1.404 1.991 9.504
1.404 4.810 2.574
1.958 0.698 13.821
1.958 6.103 6.891
4.198 2.702 6.891
4.198 4.099 13.821
4.753 1.409 2.574
4.753 5.392 9.504
5.037 1.120 11.591
5.037 5.681 4.661
7.276 1.120 9.198
7.276 5.681 2.268
7.560 1.409 4.356
7.560 5.392 11.286
8.115 2.702 0.039
8.115 4.099 6.969
10.355 0.698 6.969
10.355 6.103 0.039
10.910 1.991 11.286
10.910 4.810 4.356
11.194 2.281 2.268
11.194 4.520 9.198
```


Record 2
# HfTaN2
Calculated X-ray diffraction stick pattern, Cu Kα X-rays. Input: a DFT-relaxed cell (PBE, Alexandria).

Most intense lines, 10° ≤ 2θ ≤ 80°, in order of rising 2θ:
| 2θ/deg | intensity |
| --- | --- |
| 32.34 | 28.3 |
| 33.86 | 15.8 |
| 37.66 | 100.0 |
| 47.52 | 22.3 |
| 60.58 | 18.9 |
| 61.22 | 24.6 |
| 67.69 | 4.5 |
| 70.36 | 19.4 |
| 73.57 | 14.3 |
| 77.88 | 3.3 |

```
HfTaN2
1.0
6.117 0.000 0.000
0.000 5.292 0.000
0.000 0.000 5.537
Hf Ta N
4 4 8
Cartesian
0.779 0.434 1.384
0.779 2.212 4.153
5.338 3.080 1.384
5.338 4.859 4.153
2.313 3.093 1.384
2.313 4.846 4.153
3.803 0.447 1.384
3.803 2.199 4.153
0.805 3.969 0.000
0.805 3.969 2.768
2.329 1.323 0.000
2.329 1.323 2.768
3.788 3.969 0.000
3.788 3.969 2.768
5.312 1.323 0.000
5.312 1.323 2.768
```


Record 3
# HfTaTe2N
Calculated X-ray diffraction stick pattern, Cu Kα X-rays. Input: a DFT-relaxed cell (PBE, Alexandria).

Most intense lines, 10° ≤ 2θ ≤ 80°, in order of rising 2θ:
| 2θ/deg | intensity |
| --- | --- |
| 23.10 | 17.4 |
| 28.24 | 86.3 |
| 32.38 | 100.0 |
| 32.64 | 34.7 |
| 43.49 | 55.1 |
| 46.45 | 36.6 |
| 47.20 | 17.4 |
| 58.41 | 36.8 |
| 65.52 | 16.7 |
| 68.39 | 22.8 |

```
HfTaTe2N
1.0
5.529 0.000 0.000
0.000 5.529 0.000
0.000 0.000 3.851
Hf Ta Te N
1 1 2 1
Cartesian
0.000 0.000 0.000
2.765 2.765 1.925
0.000 2.765 1.925
2.765 0.000 1.925
2.765 2.765 0.000
```


Record 4
# Hf2TaTi3N6
Calculated X-ray diffraction stick pattern, Cu Kα X-rays. Input: a DFT-relaxed cell (PBE, Alexandria).

Most intense lines, 10° ≤ 2θ ≤ 80°, in order of rising 2θ:
| 2θ/deg | intensity |
| --- | --- |
| 17.58 | 71.1 |
| 33.83 | 46.3 |
| 35.38 | 63.4 |
| 35.45 | 31.6 |
| 35.58 | 31.3 |
| 41.16 | 100.0 |
| 59.50 | 32.2 |
| 59.70 | 21.2 |
| 62.56 | 16.7 |
| 71.22 | 30.5 |

```
Hf2TaTi3N6
1.0
2.689 -4.663 0.000
2.689 4.663 0.000
-1.805 0.000 5.046
Hf Ta Ti N
2 1 3 6
Cartesian
2.689 3.113 0.000
2.689 -3.113 0.000
2.689 0.000 0.000
-0.902 0.000 2.523
1.787 1.533 2.523
1.787 -1.533 2.523
-0.005 1.551 3.749
0.900 0.000 1.307
-0.005 -1.551 3.749
3.579 1.551 1.297
2.674 0.000 3.739
3.579 -1.551 1.297
```


Record 5
# Tm2HfTe2N2
Calculated X-ray diffraction stick pattern, Cu Kα X-rays. Input: a DFT-relaxed cell (PBE, Alexandria).

Most intense lines, 10° ≤ 2θ ≤ 80°, in order of rising 2θ:
| 2θ/deg | intensity |
| --- | --- |
| 30.40 | 89.1 |
| 32.92 | 100.0 |
| 41.30 | 45.1 |
| 43.53 | 38.6 |
| 55.64 | 45.3 |
| 61.56 | 27.9 |
| 63.26 | 12.6 |
| 70.51 | 15.5 |
| 71.79 | 15.6 |
| 78.69 | 12.7 |

```
Tm2HfTe2N2
1.0
4.158 0.000 0.000
0.000 4.158 0.000
0.000 0.000 17.990
Tm Hf Te N
4 2 4 4
Cartesian
0.000 0.000 1.582
0.000 0.000 16.408
2.079 2.079 7.413
2.079 2.079 10.577
0.000 0.000 8.995
2.079 2.079 0.000
0.000 0.000 6.007
0.000 0.000 11.983
2.079 2.079 2.988
2.079 2.079 15.002
0.000 2.079 0.000
0.000 2.079 8.995
2.079 0.000 0.000
2.079 0.000 8.995
```


Record 6
# HfTi2N4
Calculated X-ray diffraction stick pattern, Cu Kα X-rays. Input: a DFT-relaxed cell (PBE, Alexandria).

Most intense lines, 10° ≤ 2θ ≤ 80°, in order of rising 2θ:
| 2θ/deg | intensity |
| --- | --- |
| 17.72 | 40.7 |
| 20.20 | 82.8 |
| 32.48 | 100.0 |
| 32.72 | 52.5 |
| 36.32 | 47.7 |
| 36.72 | 26.9 |
| 42.09 | 55.7 |
| 45.05 | 35.9 |
| 48.45 | 21.8 |
| 56.19 | 25.9 |

```
HfTi2N4
1.0
1.487 -4.894 0.000
1.487 4.894 0.000
0.000 0.000 10.009
Hf Ti N
2 4 8
Cartesian
1.487 3.753 7.507
1.487 -3.753 2.502
1.487 1.285 5.714
1.487 1.285 9.300
1.487 -1.285 0.709
1.487 -1.285 4.295
0.000 0.000 0.000
0.000 0.000 5.005
1.487 2.261 1.198
1.487 2.261 3.806
1.487 0.398 7.507
1.487 -0.398 2.502
1.487 -2.261 6.203
1.487 -2.261 8.811
```


Record 7
# Hf4TiN
Calculated X-ray diffraction stick pattern, Cu Kα X-rays. Input: a DFT-relaxed cell (PBE, Alexandria).

Most intense lines, 10° ≤ 2θ ≤ 80°, in order of rising 2θ:
| 2θ/deg | intensity |
| --- | --- |
| 33.01 | 73.9 |
| 33.13 | 49.8 |
| 34.80 | 100.0 |
| 34.96 | 60.3 |
| 37.11 | 42.7 |
| 42.40 | 17.9 |
| 48.46 | 16.7 |
| 51.57 | 14.9 |
| 55.81 | 18.5 |
| 63.75 | 14.1 |

```
Hf4TiN
1.0
6.116 0.000 0.000
0.000 6.054 0.000
-0.720 0.000 6.019
Hf Ti N
8 2 2
Cartesian
0.467 1.056 1.123
0.107 1.971 4.132
1.914 3.807 0.503
1.554 5.275 3.513
3.843 0.780 2.506
3.483 2.248 5.516
5.290 4.083 1.887
4.930 4.998 4.896
3.058 0.000 0.000
2.698 3.027 3.009
-0.360 0.000 3.009
0.000 3.027 0.000
```


Record 8
# Hf3TiN4
Calculated X-ray diffraction stick pattern, Cu Kα X-rays. Input: a DFT-relaxed cell (PBE, Alexandria).

Most intense lines, 10° ≤ 2θ ≤ 80°, in order of rising 2θ:
| 2θ/deg | intensity |
| --- | --- |
| 27.85 | 46.1 |
| 28.00 | 19.5 |
| 34.48 | 100.0 |
| 34.60 | 52.2 |
| 40.46 | 31.9 |
| 49.45 | 34.1 |
| 49.86 | 25.6 |
| 61.53 | 21.2 |
| 65.74 | 29.0 |
| 69.78 | 21.0 |

```
Hf3TiN4
1.0
4.459 0.000 0.000
0.000 7.410 0.000
0.000 0.000 6.374
Hf Ti N
6 2 8
Cartesian
1.115 0.020 1.068
1.115 3.684 1.068
1.115 5.557 4.161
3.344 1.852 2.212
3.344 3.725 5.306
3.344 7.389 5.306
1.115 1.852 4.347
3.344 5.557 2.027
1.115 1.852 2.272
1.115 3.740 5.278
1.115 5.557 2.038
1.115 7.374 5.278
3.344 0.035 1.096
3.344 1.852 4.336
3.344 3.669 1.096
3.344 5.557 4.102
```


Please write out number 1 again, unchanged.
# Sr7HfN6
Calculated X-ray diffraction stick pattern, Cu Kα X-rays. Input: a DFT-relaxed cell (PBE, Alexandria).

Most intense lines, 10° ≤ 2θ ≤ 80°, in order of rising 2θ:
| 2θ/deg | intensity |
| --- | --- |
| 19.66 | 18.3 |
| 27.97 | 21.3 |
| 29.01 | 32.1 |
| 29.25 | 29.1 |
| 29.58 | 100.0 |
| 32.58 | 23.9 |
| 32.74 | 48.6 |
| 41.67 | 20.1 |
| 49.98 | 13.6 |
| 60.65 | 15.4 |

```
Sr7HfN6
1.0
12.313 0.000 0.000
0.000 6.801 0.000
0.000 0.000 13.860
Sr Hf N
28 4 24
Cartesian
0.000 0.142 3.465
0.000 6.659 10.395
0.505 1.538 7.021
0.505 5.263 0.091
2.722 2.598 1.648
2.722 4.203 8.578
2.798 2.391 12.070
2.798 4.410 5.140
3.359 1.010 5.140
3.359 5.791 12.070
3.435 0.802 8.578
3.435 5.999 1.648
5.652 1.862 0.091
5.652 4.939 7.021
6.157 3.259 10.395
6.157 3.542 3.465
6.661 1.862 6.839
6.661 4.939 13.768
8.879 0.802 12.211
8.879 5.999 5.281
8.955 1.010 1.790
8.955 5.791 8.720
9.515 2.391 8.720
9.515 4.410 1.790
9.591 2.598 5.281
9.591 4.203 12.211
11.809 1.538 13.768
11.809 5.263 6.839
0.000 3.258 10.395
0.000 3.543 3.465
6.157 0.143 3.465
6.157 6.658 10.395
1.120 2.281 4.661
1.120 4.520 11.591
1.404 1.991 9.504
1.404 4.810 2.574
1.958 0.698 13.821
1.958 6.103 6.891
4.198 2.702 6.891
4.198 4.099 13.821
4.753 1.409 2.574
4.753 5.392 9.504
5.037 1.120 11.591
5.037 5.681 4.661
7.276 1.120 9.198
7.276 5.681 2.268
7.560 1.409 4.356
7.560 5.392 11.286
8.115 2.702 0.039
8.115 4.099 6.969
10.355 0.698 6.969
10.355 6.103 0.039
10.910 1.991 11.286
10.910 4.810 4.356
11.194 2.281 2.268
11.194 4.520 9.198
```


Repeat the seventh record exactly.
# Hf4TiN
Calculated X-ray diffraction stick pattern, Cu Kα X-rays. Input: a DFT-relaxed cell (PBE, Alexandria).

Most intense lines, 10° ≤ 2θ ≤ 80°, in order of rising 2θ:
| 2θ/deg | intensity |
| --- | --- |
| 33.01 | 73.9 |
| 33.13 | 49.8 |
| 34.80 | 100.0 |
| 34.96 | 60.3 |
| 37.11 | 42.7 |
| 42.40 | 17.9 |
| 48.46 | 16.7 |
| 51.57 | 14.9 |
| 55.81 | 18.5 |
| 63.75 | 14.1 |

```
Hf4TiN
1.0
6.116 0.000 0.000
0.000 6.054 0.000
-0.720 0.000 6.019
Hf Ti N
8 2 2
Cartesian
0.467 1.056 1.123
0.107 1.971 4.132
1.914 3.807 0.503
1.554 5.275 3.513
3.843 0.780 2.506
3.483 2.248 5.516
5.290 4.083 1.887
4.930 4.998 4.896
3.058 0.000 0.000
2.698 3.027 3.009
-0.360 0.000 3.009
0.000 3.027 0.000
```